(1)
CuAg4: computed powder X-ray diffraction pattern (CuKα), based on the PBE geometry in OQMD.
Peak positions follow from Bragg's law for the DFT cell and can differ from measured ones.

Largest 10 diffraction maxima, in order of rising 2θ, 2θ = 10–90°:
| 2θ (°) | I_rel |
| --- | --- |
| 38.4 | 100 |
| 38.5 | 100 |
| 44.2 | 69 |
| 45.7 | 27 |
| 64.1 | 10 |
| 64.4 | 11 |
| 65.5 | 35 |
| 77.3 | 23 |
| 77.5 | 24 |
| 79.7 | 17 |

Atomic structure:
a b c (Å): 7.034 2.895 8.449
angles (deg): 90.00 104.19 90.00
Space group P2/m (No. 10)
Asymmetric unit:
Cu (0.209, 0.000, 0.101) x2
Ag (0.000, 0.000, 0.500) x1
Ag (0.088, 0.500, 0.822) x2
Ag (0.300, 0.500, 0.387) x2
Ag (0.390, 0.000, 0.700) x2
Ag (0.500, 0.500, 0.000) x1

=====

(2)
Cu2PbSe2: computed powder X-ray diffraction pattern (CuKα), based on the PBE geometry in OQMD.
Peak positions follow from Bragg's law for the DFT cell and can differ from measured ones.

Largest 10 diffraction maxima, in order of rising 2θ, 2θ = 10–90°:
| 2θ (°) | I_rel |
| --- | --- |
| 22.1 | 38 |
| 26.1 | 100 |
| 27.9 | 41 |
| 29.5 | 51 |
| 31.9 | 72 |
| 32.8 | 71 |
| 36.6 | 49 |
| 39.2 | 43 |
| 43.5 | 41 |
| 45.3 | 45 |

Atomic structure:
a b c (Å): 9.085 8.594 5.612
angles (deg): 90.00 90.00 90.00
Space group Pbcm (No. 57)
Asymmetric unit:
Cu (0.094, 0.105, 0.250) x4
Cu (0.289, 0.250, 0.000) x4
Pb (0.306, 0.628, 0.250) x4
Se (0.070, 0.109, 0.750) x4
Se (0.382, 0.044, 0.250) x4

=====

(3)
ErTmCo2I2: computed powder X-ray diffraction pattern (CuKα), based on the PBE geometry in OQMD.
Peak positions follow from Bragg's law for the DFT cell and can differ from measured ones.

Largest 10 diffraction maxima, in order of rising 2θ, 2θ = 10–90°:
| 2θ (°) | I_rel |
| --- | --- |
| 27.1 | 55 |
| 30.0 | 22 |
| 34.4 | 100 |
| 39.7 | 36 |
| 44.9 | 12 |
| 46.0 | 49 |
| 58.6 | 21 |
| 59.9 | 10 |
| 66.2 | 22 |
| 77.5 | 19 |

Atomic structure:
a b c (Å): 3.9491 3.9491 12.1201
angles (deg): 90.00 90.00 120.00
Space group P3m1 (No. 156)
Asymmetric unit:
Er (0.0000, 0.0000, 0.0000) x1
Tm (0.0000, 0.0000, 0.7046) x1
Co (0.3333, 0.6667, 0.8483) x1
Co (0.6667, 0.3333, 0.8552) x1
I (0.3333, 0.6667, 0.1766) x1
I (0.6667, 0.3333, 0.5285) x1

=====

(4)
BaGaPt3Au: computed powder X-ray diffraction pattern (CuKα), based on the PBE geometry in OQMD.
Peak positions follow from Bragg's law for the DFT cell and can differ from measured ones.

Largest 10 diffraction maxima, in order of rising 2θ, 2θ = 10–90°:
| 2θ (°) | I_rel |
| --- | --- |
| 17.5 | 41 |
| 27.7 | 34 |
| 35.5 | 55 |
| 37.6 | 100 |
| 41.8 | 74 |
| 43.4 | 30 |
| 57.2 | 28 |
| 59.1 | 28 |
| 63.7 | 29 |
| 80.2 | 31 |

Atomic structure:
a b c (Å): 5.8413 5.8413 4.1718
angles (deg): 90.00 90.00 120.00
Space group P-6m2 (No. 187)
Asymmetric unit:
Ba (0.0000, 0.0000, 0.0000) x1
Ga (0.6667, 0.3333, 0.0000) x1
Pt (0.5057, 0.0113, 0.5000) x3
Au (0.3333, 0.6667, 0.0000) x1

=====

(5)
U8FeSe17: computed powder X-ray diffraction pattern (CuKα), based on the PBE geometry in OQMD.
Peak positions follow from Bragg's law for the DFT cell and can differ from measured ones.

Largest 10 diffraction maxima, in order of rising 2θ, 2θ = 10–90°:
| 2θ (°) | I_rel |
| --- | --- |
| 24.4 | 99 |
| 24.9 | 76 |
| 33.4 | 64 |
| 33.9 | 100 |
| 34.2 | 69 |
| 36.0 | 56 |
| 36.9 | 77 |
| 37.4 | 50 |
| 39.0 | 80 |
| 41.5 | 64 |

Atomic structure:
a b c (Å): 13.777 8.695 10.777
angles (deg): 90.00 101.50 90.00
Space group C2/m (No. 12)
Asymmetric unit:
U (0.062, 0.241, 0.203) x8
U (0.180, 0.500, 0.514) x4
U (0.201, 0.000, 0.956) x4
Fe (0.000, 0.000, 0.500) x2
Se (0.000, 0.000, 0.000) x2
Se (0.022, 0.500, 0.670) x4
Se (0.055, 0.000, 0.722) x4
Se (0.127, 0.309, 0.963) x8
Se (0.131, 0.185, 0.478) x8
Se (0.201, 0.500, 0.256) x4
Se (0.216, 0.000, 0.224) x4

=====

(6)
DyYGa4Pt2: computed powder X-ray diffraction pattern (CuKα), based on the PBE geometry in OQMD.
Peak positions follow from Bragg's law for the DFT cell and can differ from measured ones.

Largest 10 diffraction maxima, in order of rising 2θ, 2θ = 10–90°:
| 2θ (°) | I_rel |
| --- | --- |
| 17.4 | 24 |
| 25.9 | 24 |
| 26.6 | 28 |
| 34.9 | 82 |
| 36.1 | 100 |
| 37.8 | 47 |
| 41.3 | 47 |
| 43.2 | 44 |
| 46.5 | 28 |
| 57.2 | 28 |

Atomic structure:
a b c (Å): 6.702 4.370 10.185
angles (deg): 90.00 90.00 90.00
Space group Amm2 (No. 38)
Asymmetric unit:
Dy (0.000, 0.000, 0.000) x2
Y (0.500, 0.000, 0.832) x2
Ga (0.197, 0.000, 0.286) x4
Ga (0.302, 0.000, 0.546) x4
Pt (0.000, 0.000, 0.712) x2
Pt (0.500, 0.000, 0.121) x2

=====

(7)
Pr2SiO4: computed powder X-ray diffraction pattern (CuKα), based on the PBE geometry in OQMD.
Peak positions follow from Bragg's law for the DFT cell and can differ from measured ones.

Largest 10 diffraction maxima, in order of rising 2θ, 2θ = 10–90°:
| 2θ (°) | I_rel |
| --- | --- |
| 27.2 | 52 |
| 28.7 | 100 |
| 29.3 | 69 |
| 30.1 | 29 |
| 31.9 | 39 |
| 34.0 | 89 |
| 36.1 | 20 |
| 45.5 | 46 |
| 48.0 | 39 |
| 50.4 | 17 |

Atomic structure:
a b c (Å): 7.714 5.265 9.955
angles (deg): 90.00 90.00 90.00
Space group Pnma (No. 62)
Asymmetric unit:
Pr (0.066, 0.250, 0.180) x4
Pr (0.146, 0.250, 0.546) x4
Si (0.173, 0.250, 0.871) x4
O (0.030, 0.750, 0.075) x4
O (0.198, 0.750, 0.503) x4
O (0.200, 0.000, 0.776) x8

=====

(8)
Sm2Gd2Mg3Co2: computed powder X-ray diffraction pattern (CuKα), based on the PBE geometry in OQMD.
Peak positions follow from Bragg's law for the DFT cell and can differ from measured ones.

Largest 10 diffraction maxima, in order of rising 2θ, 2θ = 10–90°:
| 2θ (°) | I_rel |
| --- | --- |
| 11.4 | 44 |
| 13.8 | 57 |
| 22.9 | 45 |
| 23.7 | 50 |
| 23.8 | 49 |
| 31.0 | 45 |
| 32.6 | 39 |
| 33.2 | 89 |
| 33.8 | 100 |
| 39.4 | 59 |

Atomic structure:
a b c (Å): 7.540 3.759 8.245
angles (deg): 90.00 109.71 90.00
Space group P2/m (No. 10)
Asymmetric unit:
Sm (0.098, 0.000, 0.227) x2
Gd (0.398, 0.000, 0.678) x2
Mg (0.000, 0.500, 0.500) x1
Mg (0.294, 0.500, 0.002) x2
Co (0.353, 0.500, 0.394) x2

=====

(9)
HgAu15: computed powder X-ray diffraction pattern (CuKα), based on the PBE geometry in OQMD.
Peak positions follow from Bragg's law for the DFT cell and can differ from measured ones.

Largest 10 diffraction maxima, in order of rising 2θ, 2θ = 10–90°:
| 2θ (°) | I_rel |
| --- | --- |
| 37.0 | 100 |
| 38.2 | 99 |
| 42.2 | 28 |
| 44.4 | 61 |
| 62.9 | 34 |
| 64.5 | 23 |
| 75.2 | 15 |
| 76.8 | 25 |
| 77.5 | 28 |
| 80.2 | 18 |

Atomic structure:
a b c (Å): 4.085 4.084 44.946
angles (deg): 90.00 90.00 90.00
Space group Pmma (No. 51)
Asymmetric unit:
Hg (0.250, 0.000, 0.135) x2
Au (0.250, 0.000, 0.240) x2
Au (0.250, 0.000, 0.334) x2
Au (0.250, 0.000, 0.429) x2
Au (0.250, 0.000, 0.524) x2
Au (0.250, 0.000, 0.618) x2
Au (0.250, 0.000, 0.713) x2
Au (0.250, 0.000, 0.808) x2
Au (0.250, 0.500, 0.192) x2
Au (0.250, 0.500, 0.287) x2
Au (0.250, 0.500, 0.382) x2
Au (0.250, 0.500, 0.476) x2
Au (0.250, 0.500, 0.571) x2
Au (0.250, 0.500, 0.666) x2
Au (0.250, 0.500, 0.761) x2
Au (0.250, 0.500, 0.854) x2

=====

(10)
Sr2Ni3Sn2: computed powder X-ray diffraction pattern (CuKα), based on the PBE geometry in OQMD.
Peak positions follow from Bragg's law for the DFT cell and can differ from measured ones.

Largest 10 diffraction maxima, in order of rising 2θ, 2θ = 10–90°:
| 2θ (°) | I_rel |
| --- | --- |
| 17.7 | 45 |
| 26.3 | 65 |
| 33.6 | 93 |
| 35.9 | 36 |
| 41.2 | 100 |
| 45.2 | 24 |
| 54.2 | 24 |
| 55.8 | 60 |
| 67.1 | 21 |
| 70.3 | 22 |

Atomic structure:
a b c (Å): 4.3796 4.3796 29.9953
angles (deg): 90.00 90.00 120.00
Space group R3m (No. 160, hexagonal axes)
Asymmetric unit:
Sr (0.0000, 0.0000, 0.0000) x3
Sr (0.0000, 0.0000, 0.4945) x3
Ni (0.0000, 0.0000, 0.3974) x3
Ni (0.0000, 0.0000, 0.5907) x3
Ni (0.0000, 0.0000, 0.9009) x3
Sn (0.0000, 0.0000, 0.2466) x3
Sn (0.0000, 0.0000, 0.7462) x3

=====

(11)
Cs3TlAu: computed powder X-ray diffraction pattern (CuKα), based on the PBE geometry in OQMD.
Peak positions follow from Bragg's law for the DFT cell and can differ from measured ones.

Largest 10 diffraction maxima, in order of rising 2θ, 2θ = 10–90°:
| 2θ (°) | I_rel |
| --- | --- |
| 13.7 | 43 |
| 17.3 | 36 |
| 22.5 | 43 |
| 23.0 | 46 |
| 25.8 | 100 |
| 28.1 | 43 |
| 28.6 | 42 |
| 28.9 | 26 |
| 34.9 | 25 |
| 36.9 | 25 |

Atomic structure:
a b c (Å): 7.020 7.063 12.337
angles (deg): 100.79 97.40 110.20
Space group P1 (No. 1)
Asymmetric unit:
Cs (0.000, 0.000, 0.000) x1
Cs (0.004, 0.883, 0.423) x1
Cs (0.287, 0.651, 0.721) x1
Cs (0.584, 0.399, 0.993) x1
Cs (0.652, 0.204, 0.633) x1
Cs (0.660, 0.190, 0.281) x1
Tl (0.222, 0.606, 0.177) x1
Tl (0.371, 0.541, 0.399) x1
Au (0.157, 0.117, 0.732) x1
Au (0.441, 0.837, 0.019) x1

=====

(12)
Er3Tm4Ni2Te2: computed powder X-ray diffraction pattern (CuKα), based on the PBE geometry in OQMD.
Peak positions follow from Bragg's law for the DFT cell and can differ from measured ones.

Largest 10 diffraction maxima, in order of rising 2θ, 2θ = 10–90°:
| 2θ (°) | I_rel |
| --- | --- |
| 29.1 | 23 |
| 30.4 | 22 |
| 30.6 | 51 |
| 33.2 | 80 |
| 34.3 | 100 |
| 34.8 | 75 |
| 36.9 | 23 |
| 38.7 | 19 |
| 47.5 | 30 |
| 59.2 | 31 |

Atomic structure:
a b c (Å): 3.826 15.463 9.486
angles (deg): 90.00 90.00 90.00
Space group Imm2 (No. 44)
Asymmetric unit:
Er (0.000, 0.000, 0.000) x2
Er (0.000, 0.133, 0.583) x4
Tm (0.000, 0.315, 0.379) x4
Tm (0.000, 0.353, 0.730) x4
Ni (0.000, 0.237, 0.072) x4
Te (0.000, 0.000, 0.337) x2
Te (0.000, 0.500, 0.235) x2